(1)
Diffraction record for B3H2Rh5. The X-ray powder pattern is calculated, not measured: it uses a cell relaxed with PBE and Cu Kα, 1.54184 Å.

Cell and atoms:
abc: 5.629 5.629 6.004
angles: 109.81 109.81 34.02
Fractional coordinates of all 10 atoms:
B1 0.000 0.000 0.000
B2 0.207 0.207 0.726
B3 0.793 0.793 0.274
H1 0.480 0.480 0.634
H2 0.520 0.520 0.366
Rh1 0.000 0.000 0.500
Rh2 0.190 0.190 0.302
Rh3 0.390 0.390 0.088
Rh4 0.610 0.610 0.912
Rh5 0.810 0.810 0.698

Top 10 peaks for 2θ = 5–70°, in order of falling intensity:
2θ/deg, I_rel
34.30, 100
43.66, 58
33.46, 53
42.05, 32
53.33, 31
45.32, 24
55.83, 15
66.67, 14
63.22, 7
37.64, 2

(2)
Diffraction record for CsBeAgI4. The X-ray powder pattern is calculated, not measured: it uses a cell relaxed with PBE and Cu Kα, 1.54184 Å.

Cell and atoms:
abc: 6.925 8.180 10.360
angles: 90.00 107.18 90.00
Fractional coordinates of all 14 atoms:
Cs1 0.217 0.250 0.409
Cs2 0.783 0.750 0.591
Be1 0.321 0.750 0.195
Be2 0.679 0.250 0.805
Ag1 0.342 0.250 0.989
Ag2 0.658 0.750 0.011
I1 0.052 0.750 0.986
I2 0.199 0.750 0.391
I3 0.455 0.014 0.794
I4 0.455 0.486 0.794
I5 0.545 0.514 0.206
I6 0.545 0.986 0.206
I7 0.801 0.250 0.609
I8 0.948 0.250 0.014

Top 10 peaks for 2θ = 5–70°, in order of falling intensity:
2θ/deg, I_rel
28.31, 100
25.77, 91
34.92, 80
25.46, 78
25.61, 61
26.39, 56
28.99, 39
44.29, 29
8.93, 27
51.78, 26

(3)
Diffraction record for Ac4InGa2. The X-ray powder pattern is calculated, not measured: it uses a cell relaxed with PBE and Cu Kα, 1.54184 Å.

Cell and atoms:
abc: 8.578 8.578 9.977
angles: 125.21 125.21 70.05
Fractional coordinates of all 14 atoms:
Ac1 0.073 0.073 0.245
Ac2 0.078 0.578 0.255
Ac3 0.209 0.444 0.901
Ac4 0.422 0.922 0.745
Ac5 0.556 0.791 0.099
Ac6 0.558 0.293 0.599
Ac7 0.707 0.442 0.401
Ac8 0.927 0.927 0.755
In1 0.692 0.308 0.000
In2 0.941 0.059 0.500
Ga1 0.186 0.553 0.620
Ga2 0.317 0.184 0.120
Ga3 0.447 0.814 0.380
Ga4 0.816 0.683 0.880

Top 10 peaks for 2θ = 5–70°, in order of falling intensity:
2θ/deg, I_rel
28.34, 100
28.63, 69
33.72, 57
33.83, 45
33.52, 30
28.21, 28
21.95, 26
25.41, 24
46.73, 20
46.60, 19

(4)
Diffraction record for NaInHg5. The X-ray powder pattern is calculated, not measured: it uses a cell relaxed with PBE and Cu Kα, 1.54184 Å.

Cell and atoms:
abc: 5.734 5.734 12.583
angles: 90.00 90.00 68.13
Fractional coordinates of all 14 atoms:
Na1 0.000 0.000 0.000
Na2 0.000 0.000 0.500
In1 0.375 0.625 0.750
In2 0.625 0.375 0.250
Hg1 0.091 0.909 0.250
Hg2 0.153 0.420 0.111
Hg3 0.153 0.420 0.389
Hg4 0.420 0.153 0.611
Hg5 0.420 0.153 0.889
Hg6 0.580 0.847 0.111
Hg7 0.580 0.847 0.389
Hg8 0.847 0.580 0.611
Hg9 0.847 0.580 0.889
Hg10 0.909 0.091 0.750

Top 10 peaks for 2θ = 5–70°, in order of falling intensity:
2θ/deg, I_rel
34.45, 100
34.19, 92
35.19, 80
23.47, 39
62.34, 32
52.66, 27
18.68, 26
37.88, 23
31.50, 22
68.51, 19

Please write out number 2 again, unchanged.
Diffraction record for CsBeAgI4. The X-ray powder pattern is calculated, not measured: it uses a cell relaxed with PBE and Cu Kα, 1.54184 Å.

Cell and atoms:
abc: 6.925 8.180 10.360
angles: 90.00 107.18 90.00
Fractional coordinates of all 14 atoms:
Cs1 0.217 0.250 0.409
Cs2 0.783 0.750 0.591
Be1 0.321 0.750 0.195
Be2 0.679 0.250 0.805
Ag1 0.342 0.250 0.989
Ag2 0.658 0.750 0.011
I1 0.052 0.750 0.986
I2 0.199 0.750 0.391
I3 0.455 0.014 0.794
I4 0.455 0.486 0.794
I5 0.545 0.514 0.206
I6 0.545 0.986 0.206
I7 0.801 0.250 0.609
I8 0.948 0.250 0.014

Top 10 peaks for 2θ = 5–70°, in order of falling intensity:
2θ/deg, I_rel
28.31, 100
25.77, 91
34.92, 80
25.46, 78
25.61, 61
26.39, 56
28.99, 39
44.29, 29
8.93, 27
51.78, 26